1.
# RbCdHg2Cl8
Computed powder X-ray diffraction pattern, λ = 1.5418 Å (Cu Kα). Input: DFT lattice parameters and positions (GGA-PBE).
Neutral-atom scattering factors, no anomalous dispersion.

Structure:
```
data_RbCdHg2Cl8
_space_group_name_H-M_alt 'P -3'
_space_group_IT_number 147
_space_group_name_Hall '-P 3'
_cell_length_a 6.6831
_cell_length_b 6.6831
_cell_length_c 9.4083
_cell_angle_alpha 90.00
_cell_angle_beta 90.00
_cell_angle_gamma 120.00
loop_
_atom_site_label
_atom_site_fract_x
_atom_site_fract_y
_atom_site_fract_z
_atom_site_occupancy
Rb1 0.0000 0.0000 0.0000 1
Cd1 0.0000 0.0000 0.5000 1
Hg1 0.3333 0.6667 0.7319 1
Cl1 0.0331 0.7036 0.3293 1
Cl2 0.3333 0.6667 0.0014 1
```

Principal peaks in the range 2θ from 15° to 90°, most intense first:
- 18.0 deg, intensity 100
- 26.7 deg, intensity 61
- 24.4 deg, intensity 59
- 42.5 deg, intensity 42
- 47.3 deg, intensity 37
- 32.4 deg, intensity 34



2.
# Cd2I2Cl
Computed powder X-ray diffraction pattern, λ = 1.5418 Å (Cu Kα). Input: DFT lattice parameters and positions (GGA-PBE).
Neutral-atom scattering factors, no anomalous dispersion.

Structure:
```
data_Cd2I2Cl
_space_group_name_H-M_alt 'P n m a'
_space_group_IT_number 62
_space_group_name_Hall '-P 2ac 2n'
_cell_length_a 8.516
_cell_length_b 6.214
_cell_length_c 12.810
_cell_angle_alpha 90.00
_cell_angle_beta 90.00
_cell_angle_gamma 90.00
loop_
_atom_site_label
_atom_site_fract_x
_atom_site_fract_y
_atom_site_fract_z
_atom_site_occupancy
Cd1 0.084 0.250 0.240 1
Cd2 0.161 0.250 0.571 1
I1 0.073 0.750 0.228 1
I2 0.153 0.750 0.572 1
Cl1 0.179 0.750 0.883 1
```

Principal peaks in the range 2θ from 15° to 90°, most intense first:
- 29.6 deg, intensity 100
- 28.7 deg, intensity 79
- 41.7 deg, intensity 77
- 17.3 deg, intensity 42
- 25.1 deg, intensity 30
- 52.6 deg, intensity 21